The following is a theoretical powder XRD pattern of Cs3Tl2Br9. It was derived from a crystal structure in the Materials Project, relaxed with GGA-PBE, using Cu Ka.
Lines closer than 0.1° are merged.

Structure:
abc: 9.993 8.122 14.403
angles: 90.00 93.65 90.00
Fractional positions:
1 Cs 0.027 0.000 0.225
2 Cs 0.325 0.000 0.924
3 Cs 0.362 0.500 0.386
4 Cs 0.638 0.000 0.614
5 Cs 0.675 0.500 0.076
6 Cs 0.973 0.500 0.775
7 Tl 0.193 0.500 0.085
8 Tl 0.203 0.003 0.570
9 Tl 0.797 0.503 0.430
10 Tl 0.807 0.000 0.915
11 Br 0.000 0.250 0.000
12 Br 0.000 0.750 0.000
13 Br 0.030 0.500 0.233
14 Br 0.040 0.534 0.507
15 Br 0.295 0.747 0.666
16 Br 0.299 0.255 0.668
17 Br 0.311 0.500 0.921
18 Br 0.347 0.998 0.420
19 Br 0.349 0.250 0.161
20 Br 0.349 0.750 0.161
21 Br 0.651 0.250 0.839
22 Br 0.651 0.750 0.839
23 Br 0.653 0.498 0.580
24 Br 0.689 0.000 0.079
25 Br 0.701 0.755 0.332
26 Br 0.705 0.247 0.334
27 Br 0.960 0.034 0.493
28 Br 0.970 0.000 0.767

Principal peaks in the range 2θ from 10° to 90°, sorted by position:
two_theta	d [Å]	Rel. int.
15.13	5.855	27
15.61	5.676	25
21.51	4.131	62
21.89	4.061	34
26.48	3.366	26
26.86	3.319	40
29.70	3.008	52
31.47	2.842	100
43.78	2.068	26
43.88	2.063	31


The following is a theoretical powder XRD pattern of CaGaCu. It was derived from a crystal structure in the Materials Project, relaxed with GGA-PBE, using Cu Ka.
Lines closer than 0.1° are merged.

Structure:
abc: 5.514 5.514 7.220
angles: 127.99 127.99 47.74
Fractional positions:
1 Ca 0.052 0.052 0.306
2 Ca 0.948 0.948 0.694
3 Ga 0.330 0.330 0.892
4 Ga 0.670 0.670 0.108
5 Cu 0.335 0.335 0.273
6 Cu 0.665 0.665 0.727

Principal peaks in the range 2θ from 10° to 90°, sorted by position:
two_theta	d [Å]	Rel. int.
24.70	3.604	25
33.17	2.701	32
33.62	2.666	80
34.22	2.620	37
34.68	2.587	46
38.70	2.327	38
40.09	2.249	31
40.42	2.231	67
41.58	2.172	100
57.19	1.611	26